Theoretical X-ray powder pattern
Compound: SmSb3S6
Radiation: Cu Kα (λ = 1.5418 Å)
Structure: a crystal structure in OQMD, relaxed with GGA-PBE

Largest 8 diffraction maxima, by angle, 5° ≤ 2θ ≤ 70°:
d_spacing  2θ/deg  I (rel.)  (hkl)
11.582  7.63  67  0 0 1
5.691  15.57  54  1 0 -2
3.930  22.62  83  1 0 -3
3.655  24.35  56  2 0 2
3.187  27.99  56  2 1 -1
3.004  29.74  61  1 1 2
2.738  32.71  100  0 1 3
2.166  41.69  57  4 1 1

Crystal structure
```
20
Lattice="11.5700 0.0000 0.0000 0.0000 3.8821 0.0000 -2.6399 0.0000 11.5825" Properties=species:S:1:pos:R:3 pbc="T T T"
Sm 2.0770 0.9705 0.3456
Sm 6.8531 2.9116 11.2369
Sb -0.4125 2.9116 3.3449
Sb 2.7745 0.9705 4.8739
Sb 2.4678 2.9116 9.7861
Sb 6.4623 0.9705 1.7964
Sb 6.1556 2.9116 6.7086
Sb 9.3426 0.9705 8.2376
S -1.9339 2.9116 10.3341
S 0.2348 0.9705 5.0979
S 1.9304 2.9116 2.5077
S 0.8662 0.9705 9.2763
S 4.2725 2.9116 0.5483
S 2.9636 2.9116 6.5388
S 5.9666 0.9705 5.0437
S 4.6576 0.9705 11.0342
S 8.0639 2.9116 2.3062
S 6.9997 0.9705 9.0748
S 8.6953 2.9116 6.4846
S 10.8640 0.9705 1.2484
```